Computed XRD peak list of Li2Mg2InNi2Ge for Cu Kα, 1.54184 Å, from DFT lattice parameters and positions (PBE).
Kinematic intensities with the Lorentz-polarization factor, no thermal factor.

The 6 most intense peaks (2θ from 15° to 90°), sorted by position:
2θ (°)	I_rel
25.0	91
41.4	100
41.5	51
49.1	28
60.2	16
75.7	31

Cell: 4.349 4.349 6.190 Å, 90.00 90.00 90.00°
Sites, in units of the cell vectors:
Li  0.000  0.500  0.232
Li  0.500  0.000  0.768
Mg  0.000  0.000  0.000
Mg  0.500  0.500  0.500
In  0.000  0.000  0.500
Ni  0.000  0.500  0.769
Ni  0.500  0.000  0.231
Ge  0.500  0.500  0.000


Computed XRD peak list of Li4InGePt2 for Cu Kα, 1.54184 Å, from DFT lattice parameters and positions (PBE).
Kinematic intensities with the Lorentz-polarization factor, no thermal factor.

The 6 most intense peaks (2θ from 15° to 90°), sorted by position:
2θ (°)	I_rel
24.9	100
41.1	53
41.6	27
48.1	14
49.1	32
75.6	18

Cell: 4.339 4.339 6.304 Å, 90.00 90.00 90.00°
Sites, in units of the cell vectors:
Li  0.000  0.000  0.000
Li  0.000  0.500  0.730
Li  0.500  0.000  0.270
Li  0.500  0.500  0.500
In  0.500  0.500  0.000
Ge  0.000  0.000  0.500
Pt  0.000  0.500  0.277
Pt  0.500  0.000  0.723


Computed XRD peak list of NdInGe for Cu Kα, 1.54184 Å, from DFT lattice parameters and positions (PBE).
Kinematic intensities with the Lorentz-polarization factor, no thermal factor.

The 6 most intense peaks (2θ from 15° to 90°), sorted by position:
2θ (°)	I_rel
31.0	100
33.8	44
35.7	29
40.7	33
41.2	21
59.3	21

Cell: 7.678 7.678 4.383 Å, 90.00 90.00 120.00°
Sites, in units of the cell vectors:
Nd  0.000  0.614  0.000
Nd  0.386  0.386  0.000
Nd  0.614  0.000  0.000
In  0.000  0.265  0.500
In  0.265  0.000  0.500
In  0.735  0.735  0.500
Ge  0.000  0.000  0.000
Ge  0.333  0.667  0.500
Ge  0.667  0.333  0.500


Computed XRD peak list of PrInGeO5 for Cu Kα, 1.54184 Å, from DFT lattice parameters and positions (PBE).
Kinematic intensities with the Lorentz-polarization factor, no thermal factor.

The 6 most intense peaks (2θ from 15° to 90°), sorted by position:
2θ (°)	I_rel
26.2	24
27.5	63
28.1	87
31.4	57
32.0	100
51.6	44

Cell: 5.716 5.974 7.202 Å, 105.85 99.57 108.31°
Sites, in units of the cell vectors:
Pr  0.149  0.319  0.284
Pr  0.851  0.681  0.716
In  0.500  0.000  0.000
In  0.500  0.000  0.500
Ge  0.187  0.334  0.767
Ge  0.813  0.666  0.233
O  0.080  0.743  0.445
O  0.171  0.123  0.900
O  0.203  0.626  0.922
O  0.415  0.106  0.263
O  0.438  0.351  0.649
O  0.562  0.649  0.351
O  0.585  0.894  0.737
O  0.797  0.374  0.078
O  0.829  0.877  0.100
O  0.920  0.257  0.555


Computed XRD peak list of InGe5Os3 for Cu Kα, 1.54184 Å, from DFT lattice parameters and positions (PBE).
Kinematic intensities with the Lorentz-polarization factor, no thermal factor.

The 6 most intense peaks (2θ from 15° to 90°), sorted by position:
2θ (°)	I_rel
22.8	31
23.5	30
36.1	23
39.5	36
41.4	54
46.5	100

Cell: 5.264 5.264 7.578 Å, 90.00 90.00 120.00°
Sites, in units of the cell vectors:
In  0.000  0.000  0.000
Ge  0.000  0.000  0.500
Ge  0.333  0.667  0.214
Ge  0.333  0.667  0.786
Ge  0.667  0.333  0.214
Ge  0.667  0.333  0.786
Os  0.000  0.500  0.500
Os  0.500  0.000  0.500
Os  0.500  0.500  0.500


Computed XRD peak list of InGePd4Pt for Cu Kα, 1.54184 Å, from DFT lattice parameters and positions (PBE).
Kinematic intensities with the Lorentz-polarization factor, no thermal factor.

The 6 most intense peaks (2θ from 15° to 90°), sorted by position:
2θ (°)	I_rel
33.7	38
40.5	100
44.6	43
60.1	14
64.9	14
79.4	27

Cell: 4.061 4.061 7.074 Å, 90.00 90.00 90.00°
Sites, in units of the cell vectors:
In  0.000  0.000  0.000
Ge  0.500  0.500  0.500
Pd  0.000  0.500  0.289
Pd  0.000  0.500  0.711
Pd  0.500  0.000  0.289
Pd  0.500  0.000  0.711
Pt  0.500  0.500  0.000


Computed XRD peak list of Pr2InGePt4 for Cu Kα, 1.54184 Å, from DFT lattice parameters and positions (PBE).
Kinematic intensities with the Lorentz-polarization factor, no thermal factor.

The 6 most intense peaks (2θ from 15° to 90°), sorted by position:
2θ (°)	I_rel
22.5	23
36.5	100
39.6	75
55.0	31
69.8	31
71.8	13

Cell: 4.554 4.554 9.438 Å, 90.00 90.00 120.00°
Sites, in units of the cell vectors:
Pr  0.333  0.667  0.246
Pr  0.667  0.333  0.754
In  0.000  0.000  0.500
Ge  0.000  0.000  0.000
Pt  0.333  0.667  0.588
Pt  0.333  0.667  0.920
Pt  0.667  0.333  0.080
Pt  0.667  0.333  0.412


Computed XRD peak list of TaInGeS5 for Cu Kα, 1.54184 Å, from DFT lattice parameters and positions (PBE).
Kinematic intensities with the Lorentz-polarization factor, no thermal factor.

The 6 most intense peaks (2θ from 15° to 90°), sorted by position:
2θ (°)	I_rel
19.6	81
27.0	84
27.2	84
27.6	83
28.4	50
31.9	100

Cell: 6.904 6.973 8.902 Å, 79.16 72.02 74.61°
Sites, in units of the cell vectors:
Ta  0.025  0.240  0.008
Ta  0.975  0.760  0.992
In  0.374  0.591  0.285
In  0.626  0.409  0.715
Ge  0.288  0.021  0.621
Ge  0.712  0.979  0.379
S  0.104  0.310  0.709
S  0.124  0.771  0.701
S  0.247  0.435  0.027
S  0.257  0.927  0.998
S  0.383  0.063  0.350
S  0.617  0.937  0.650
S  0.743  0.073  0.002
S  0.753  0.565  0.973
S  0.876  0.229  0.299
S  0.896  0.690  0.291


Computed XRD peak list of ZnIn2Ge for Cu Kα, 1.54184 Å, from DFT lattice parameters and positions (PBE).
Kinematic intensities with the Lorentz-polarization factor, no thermal factor.

The 6 most intense peaks (2θ from 15° to 90°), sorted by position:
2θ (°)	I_rel
21.6	6
35.6	100
51.3	17
64.0	34
75.4	11
86.3	15

Cell: 7.128 7.128 7.128 Å, 90.00 90.00 90.00°
Sites, in units of the cell vectors:
Zn  0.000  0.000  0.000
Zn  0.000  0.500  0.500
Zn  0.500  0.000  0.500
Zn  0.500  0.500  0.000
In  0.000  0.000  0.500
In  0.000  0.500  0.000
In  0.250  0.250  0.250
In  0.250  0.750  0.750
In  0.500  0.000  0.000
In  0.500  0.500  0.500
In  0.750  0.250  0.750
In  0.750  0.750  0.250
Ge  0.250  0.250  0.750
Ge  0.250  0.750  0.250
Ge  0.750  0.250  0.250
Ge  0.750  0.750  0.750


Computed XRD peak list of Ge2Ir3 for Cu Kα, 1.54184 Å, from DFT lattice parameters and positions (PBE).
Kinematic intensities with the Lorentz-polarization factor, no thermal factor.

The 6 most intense peaks (2θ from 15° to 90°), sorted by position:
2θ (°)	I_rel
30.1	94
42.3	100
43.9	95
62.6	32
69.8	20
79.6	32

Cell: 4.123 4.123 5.339 Å, 90.00 90.00 120.00°
Sites, in units of the cell vectors:
Ge  0.333  0.667  0.209
Ge  0.667  0.333  0.791
Ir  0.000  0.000  0.000
Ir  0.333  0.667  0.676
Ir  0.667  0.333  0.324


Computed XRD peak list of GeIr10 for Cu Kα, 1.54184 Å, from DFT lattice parameters and positions (PBE).
Kinematic intensities with the Lorentz-polarization factor, no thermal factor.

The 6 most intense peaks (2θ from 15° to 90°), sorted by position:
2θ (°)	I_rel
40.0	100
40.7	58
42.2	27
46.6	17
47.1	35
47.2	20

Cell: 4.715 4.715 32.308 Å, 90.00 90.00 48.39°
Sites, in units of the cell vectors:
Ge  0.147  0.147  0.221
Ge  0.853  0.853  0.779
Ir  0.050  0.050  0.674
Ir  0.051  0.051  0.406
Ir  0.150  0.150  0.487
Ir  0.151  0.151  0.755
Ir  0.250  0.250  0.567
Ir  0.252  0.252  0.298
Ir  0.347  0.347  0.648
Ir  0.353  0.353  0.379
Ir  0.451  0.451  0.460
Ir  0.453  0.453  0.728
Ir  0.547  0.547  0.272
Ir  0.549  0.549  0.540
Ir  0.647  0.647  0.621
Ir  0.653  0.653  0.352
Ir  0.748  0.748  0.702
Ir  0.750  0.750  0.433
Ir  0.849  0.849  0.245
Ir  0.850  0.850  0.513
Ir  0.949  0.949  0.594
Ir  0.950  0.950  0.326


Computed XRD peak list of Ge5Ir4 for Cu Kα, 1.54184 Å, from DFT lattice parameters and positions (PBE).
Kinematic intensities with the Lorentz-polarization factor, no thermal factor.

The 6 most intense peaks (2θ from 15° to 90°), sorted by position:
2θ (°)	I_rel
24.8	77
31.5	37
40.5	100
45.2	90
52.2	36
65.8	30

Cell: 5.679 5.679 18.551 Å, 90.00 90.00 90.00°
Sites, in units of the cell vectors:
Ge  0.144  0.226  0.145
Ge  0.144  0.774  0.645
Ge  0.196  0.342  0.944
Ge  0.196  0.658  0.444
Ge  0.226  0.144  0.355
Ge  0.226  0.856  0.855
Ge  0.323  0.323  0.750
Ge  0.323  0.677  0.250
Ge  0.342  0.196  0.556
Ge  0.342  0.804  0.056
Ge  0.658  0.196  0.056
Ge  0.658  0.804  0.556
Ge  0.677  0.323  0.250
Ge  0.677  0.677  0.750
Ge  0.774  0.144  0.855
Ge  0.774  0.856  0.355
Ge  0.804  0.342  0.444
Ge  0.804  0.658  0.944
Ge  0.856  0.226  0.645
Ge  0.856  0.774  0.145
Ir  0.000  0.000  0.000
Ir  0.000  0.000  0.250
Ir  0.000  0.000  0.500
Ir  0.000  0.000  0.750
Ir  0.000  0.500  0.055
Ir  0.000  0.500  0.323
Ir  0.000  0.500  0.555
Ir  0.000  0.500  0.823
Ir  0.500  0.000  0.177
Ir  0.500  0.000  0.445
Ir  0.500  0.000  0.677
Ir  0.500  0.000  0.945
Ir  0.500  0.500  0.136
Ir  0.500  0.500  0.364
Ir  0.500  0.500  0.636
Ir  0.500  0.500  0.864